For Rb3Fe2Cl4F3, a DFT-relaxed cell (PBE+U, Alexandria) gives the theoretical powder diffractogram in this record (Cu Kα (weighted mean of Kα1 and Kα2)).
Kinematic intensities with the Lorentz-polarization factor, no thermal factor.

The 10 most intense peaks (2θ from 5° to 70°), sorted by position:
hkl 2 0 0, 6.81 deg, rel. 24
hkl 6 0 -1, 24.40 deg, rel. 52
hkl 5 1 0, 27.42 deg, rel. 91
hkl 1 1 -1, 27.54 deg, rel. 100
hkl 10 0 0, 34.58 deg, rel. 99
hkl 2 0 -2, 35.00 deg, rel. 69
hkl 0 2 0, 43.32 deg, rel. 36
hkl 7 1 -2, 45.03 deg, rel. 46
hkl 2 2 -2, 56.86 deg, rel. 30
hkl 15 1 1, 64.22 deg, rel. 24

a = 26.464 Å, b = 4.178 Å, c = 5.127 Å
α = 90.00°, β = 101.16°, γ = 90.00°
Space group C2/m (No. 12)
Inequivalent atoms, fractional coordinates:
1 Rb 0.000 0.000 0.000
2 Rb 0.186 0.000 0.185
3 Fe 0.083 0.500 0.582
4 Cl 0.091 0.500 0.090
5 Cl 0.184 0.500 0.685
6 F 0.000 0.500 0.500
7 F 0.081 0.000 0.581